(1)
For ThSc2WC4, the PBE geometry in Alexandria gives the computed XRD peak list in this record (Cu Kα (weighted mean of Kα1 and Kα2)).

Cell and atoms:
```
data_ThSc2WC4
_cell_length_a 6.1829
_cell_length_b 6.1829
_cell_length_c 11.5051
_cell_angle_alpha 90.00
_cell_angle_beta 90.00
_cell_angle_gamma 147.62
_symmetry_space_group_name_H-M 'P 1'
_symmetry_Int_Tables_number 1
loop_
_symmetry_equiv_pos_as_xyz
'x,y,z'
loop_
_atom_site_label
_atom_site_type_symbol
_atom_site_fract_x
_atom_site_fract_y
_atom_site_fract_z
Th1 Th 0.1064 0.8936 0.7500
Th2 Th 0.8936 0.1064 0.2500
Sc1 Sc 0.3730 0.6270 0.5373
Sc2 Sc 0.3730 0.6270 0.9627
Sc3 Sc 0.6270 0.3730 0.0373
Sc4 Sc 0.6270 0.3730 0.4627
W1 W 0.1562 0.8438 0.2500
W2 W 0.8438 0.1562 0.7500
C1 C 0.0000 0.0000 0.0000
C2 C 0.0000 0.0000 0.5000
C3 C 0.2607 0.7393 0.1213
C4 C 0.2607 0.7393 0.3787
C5 C 0.4389 0.5611 0.7500
C6 C 0.5611 0.4389 0.2500
C7 C 0.7393 0.2607 0.6213
C8 C 0.7393 0.2607 0.8787
```

The 12 most intense peaks (2θ from 5° to 70°), low angle first:
2θ/deg, intensity
15.40, 77
26.93, 19
30.10, 23
31.14, 100
33.98, 15
35.40, 18
37.98, 41
41.59, 16
43.82, 17
47.12, 13
53.14, 15
62.86, 12



(2)
For Nb6AlRe5, the PBE geometry in Alexandria gives the computed XRD peak list in this record (Cu Kα (weighted mean of Kα1 and Kα2)).

Cell and atoms:
```
data_Nb6AlRe5
_cell_length_a 7.8561
_cell_length_b 7.8561
_cell_length_c 7.8561
_cell_angle_alpha 146.49
_cell_angle_beta 131.53
_cell_angle_gamma 60.21
_symmetry_space_group_name_H-M 'P 1'
_symmetry_Int_Tables_number 1
loop_
_symmetry_equiv_pos_as_xyz
'x,y,z'
loop_
_atom_site_label
_atom_site_type_symbol
_atom_site_fract_x
_atom_site_fract_y
_atom_site_fract_z
Nb1 Nb 0.0781 0.3314 0.7467
Nb2 Nb 0.2436 0.0000 0.2436
Nb3 Nb 0.4153 0.6686 0.7467
Nb4 Nb 0.5847 0.3314 0.2533
Nb5 Nb 0.7564 0.0000 0.7564
Nb6 Nb 0.9219 0.6686 0.2533
Al1 Al 0.5000 0.5000 0.0000
Re1 Re 0.0000 0.5000 0.5000
Re2 Re 0.1675 0.1675 0.0000
Re3 Re 0.3363 0.8363 0.5000
Re4 Re 0.6637 0.1637 0.5000
Re5 Re 0.8325 0.8325 0.0000
```

The 12 most intense peaks (2θ from 5° to 70°), low angle first:
2θ/deg, intensity
13.03, 4
15.21, 6
20.67, 3
24.01, 4
27.41, 3
27.66, 4
27.85, 7
39.66, 100
39.80, 50
49.15, 3
57.12, 9
57.54, 17



(3)
For Te2H2Au, the PBE geometry in Alexandria gives the computed XRD peak list in this record (Cu Kα (weighted mean of Kα1 and Kα2)).

Cell and atoms:
```
data_Te2H2Au
_cell_length_a 3.2708
_cell_length_b 4.7349
_cell_length_c 7.2308
_cell_angle_alpha 96.80
_cell_angle_beta 102.42
_cell_angle_gamma 90.04
_symmetry_space_group_name_H-M 'P 1'
_symmetry_Int_Tables_number 1
loop_
_symmetry_equiv_pos_as_xyz
'x,y,z'
loop_
_atom_site_label
_atom_site_type_symbol
_atom_site_fract_x
_atom_site_fract_y
_atom_site_fract_z
Te1 Te 0.1488 0.2163 0.3008
Te2 Te 0.8512 0.7837 0.6992
H1 H 0.0824 0.8647 0.1655
H2 H 0.9176 0.1353 0.8345
Au1 Au 0.0000 0.5000 0.0000
```

The 12 most intense peaks (2θ from 5° to 70°), low angle first:
2θ/deg, intensity
12.63, 30
18.88, 18
24.04, 100
27.94, 43
28.09, 41
29.89, 45
34.38, 27
34.52, 27
38.53, 24
38.91, 19
44.88, 19
45.34, 19



(4)
For CdOsO4, the PBE geometry in Alexandria gives the computed XRD peak list in this record (Cu Kα (weighted mean of Kα1 and Kα2)).

Cell and atoms:
```
data_CdOsO4
_cell_length_a 5.9038
_cell_length_b 4.8418
_cell_length_c 5.5811
_cell_angle_alpha 90.00
_cell_angle_beta 107.50
_cell_angle_gamma 90.00
_symmetry_space_group_name_H-M 'P 1'
_symmetry_Int_Tables_number 1
loop_
_symmetry_equiv_pos_as_xyz
'x,y,z'
loop_
_atom_site_label
_atom_site_type_symbol
_atom_site_fract_x
_atom_site_fract_y
_atom_site_fract_z
Cd1 Cd 0.0000 0.0000 0.0000
Cd2 Cd 0.0000 0.5000 0.5000
Os1 Os 0.5000 0.0000 0.5000
Os2 Os 0.5000 0.5000 0.0000
O1 O 0.1982 0.1638 0.3917
O2 O 0.1982 0.3362 0.8917
O3 O 0.3846 0.7401 0.7024
O4 O 0.3846 0.7599 0.2024
O5 O 0.6154 0.2401 0.7976
O6 O 0.6154 0.2599 0.2976
O7 O 0.8018 0.6638 0.1083
O8 O 0.8018 0.8362 0.6083
```

The 12 most intense peaks (2θ from 5° to 70°), low angle first:
2θ/deg, intensity
15.74, 13
26.66, 100
31.78, 26
32.22, 52
33.68, 23
37.14, 14
38.96, 13
49.67, 18
50.10, 18
51.00, 18
52.72, 16
54.91, 15



(5)
For Pr4Sm7Dy, the PBE geometry in Alexandria gives the computed XRD peak list in this record (Cu Kα (weighted mean of Kα1 and Kα2)).

Cell and atoms:
```
data_Pr4Sm7Dy
_cell_length_a 8.7903
_cell_length_b 8.7903
_cell_length_c 9.3841
_cell_angle_alpha 114.54
_cell_angle_beta 114.54
_cell_angle_gamma 40.35
_symmetry_space_group_name_H-M 'P 1'
_symmetry_Int_Tables_number 1
loop_
_symmetry_equiv_pos_as_xyz
'x,y,z'
loop_
_atom_site_label
_atom_site_type_symbol
_atom_site_fract_x
_atom_site_fract_y
_atom_site_fract_z
Pr1 Pr 0.0758 0.0758 0.2022
Pr2 Pr 0.1745 0.1745 0.8865
Pr3 Pr 0.8255 0.8255 0.1135
Pr4 Pr 0.9242 0.9242 0.7978
Sm1 Sm 0.0000 0.0000 0.5000
Sm2 Sm 0.2900 0.2900 0.6246
Sm3 Sm 0.2928 0.2928 0.2769
Sm4 Sm 0.4201 0.4201 0.0660
Sm5 Sm 0.5799 0.5799 0.9340
Sm6 Sm 0.7072 0.7072 0.7231
Sm7 Sm 0.7100 0.7100 0.3754
Dy1 Dy 0.5000 0.5000 0.5000
```

The 12 most intense peaks (2θ from 5° to 70°), low angle first:
2θ/deg, intensity
24.01, 20
28.60, 43
28.72, 65
29.46, 100
30.39, 33
30.97, 52
31.86, 69
32.46, 36
33.23, 51
41.55, 42
42.82, 36
53.79, 19



(6)
For SrBi2F11, the PBE geometry in Alexandria gives the computed XRD peak list in this record (Cu Kα (weighted mean of Kα1 and Kα2)).

Cell and atoms:
```
data_SrBi2F11
_cell_length_a 8.8100
_cell_length_b 8.8100
_cell_length_c 8.8100
_cell_angle_alpha 124.22
_cell_angle_beta 106.87
_cell_angle_gamma 98.47
_symmetry_space_group_name_H-M 'P 1'
_symmetry_Int_Tables_number 1
loop_
_symmetry_equiv_pos_as_xyz
'x,y,z'
loop_
_atom_site_label
_atom_site_type_symbol
_atom_site_fract_x
_atom_site_fract_y
_atom_site_fract_z
Sr1 Sr 0.2500 0.2500 0.0000
Sr2 Sr 0.7500 0.7500 0.0000
Bi1 Bi 0.1806 0.6402 0.8207
Bi2 Bi 0.3194 0.1402 0.4596
Bi3 Bi 0.6806 0.8598 0.5404
Bi4 Bi 0.8194 0.3598 0.1793
F1 F 0.0000 0.5000 0.5000
F2 F 0.0529 0.9667 0.2906
F3 F 0.0550 0.3673 0.1660
F4 F 0.1761 0.4667 0.9139
F5 F 0.2013 0.8890 0.8340
F6 F 0.2162 0.3700 0.5861
F7 F 0.2838 0.8700 0.1538
F8 F 0.2987 0.1327 0.6877
F9 F 0.3239 0.2378 0.2906
F10 F 0.4450 0.6110 0.3123
F11 F 0.4471 0.7378 0.9139
F12 F 0.5000 0.0000 0.5000
F13 F 0.5529 0.2622 0.0861
F14 F 0.5550 0.3890 0.6877
F15 F 0.6761 0.7622 0.7094
F16 F 0.7013 0.8673 0.3123
F17 F 0.7162 0.1300 0.8462
F18 F 0.7838 0.6300 0.4139
F19 F 0.7987 0.1110 0.1660
F20 F 0.8239 0.5333 0.0861
F21 F 0.9450 0.6327 0.8340
F22 F 0.9471 0.0333 0.7094
```

The 12 most intense peaks (2θ from 5° to 70°), low angle first:
2θ/deg, intensity
15.40, 72
20.64, 58
21.51, 64
22.94, 57
24.46, 100
27.70, 21
30.85, 18
33.03, 25
42.12, 27
43.19, 25
44.81, 34
47.40, 35